Entry 1:
The following is a simulated X-ray powder pattern of Gd3In3NiAgPd. It was derived from a DFT-relaxed cell (GGA-PBE, OQMD), using λ = 1.5418 Å (Cu Kα).

Cell and atoms:
```
Gd3In3NiAgPd
1.0
7.694 0.000 0.000
-3.847 6.663 0.000
0.000 0.000 3.921
Gd In Ni Ag Pd
3 3 1 1 1
Direct
0.014 0.603 0.000
0.397 0.411 0.000
0.589 0.986 0.000
0.247 0.002 0.500
0.755 0.753 0.500
0.998 0.245 0.500
0.000 0.000 0.000
0.667 0.333 0.500
0.333 0.667 0.500
```

Peak list (10 most intense, 10° ≤ 2θ ≤ 90°, by intensity)
2θ 32.6, intensity 1000; 2θ 35.4, intensity 698; 2θ 35.6, intensity 542; 2θ 40.6, intensity 280; 2θ 65.5, intensity 247; 2θ 59.8, intensity 237; 2θ 46.3, intensity 211; 2θ 42.7, intensity 196; 2θ 54.9, intensity 181; 2θ 63.3, intensity 146

---

Entry 2:
The following is a simulated X-ray powder pattern of Gd2YIn3AgPd2. It was derived from a DFT-relaxed cell (GGA-PBE, OQMD), using λ = 1.5418 Å (Cu Kα).

Cell and atoms:
```
Gd2YIn3AgPd2
1.0
3.828 0.000 0.000
0.000 6.791 3.919
0.000 -6.791 3.919
Gd Y In Ag Pd
2 1 3 1 2
Direct
0.000 0.205 0.795
0.000 0.795 0.205
0.000 0.615 0.615
0.500 0.205 0.473
0.500 0.473 0.205
0.500 0.937 0.937
0.000 0.205 0.205
0.500 0.538 0.872
0.500 0.872 0.538
```

Peak list (10 most intense, 10° ≤ 2θ ≤ 90°, by intensity)
2θ 32.7, intensity 1000; 2θ 35.3, intensity 943; 2θ 39.8, intensity 476; 2θ 35.0, intensity 473; 2θ 64.6, intensity 356; 2θ 42.4, intensity 254; 2θ 47.5, intensity 232; 2θ 63.7, intensity 231; 2θ 60.3, intensity 191; 2θ 48.3, intensity 145

---

Entry 3:
The following is a simulated X-ray powder pattern of GdY2Tl3AgIr2. It was derived from a DFT-relaxed cell (GGA-PBE, OQMD), using λ = 1.5418 Å (Cu Kα).

Cell and atoms:
```
GdY2Tl3AgIr2
1.0
3.815 0.000 0.000
0.000 6.807 3.931
0.000 -6.807 3.931
Gd Y Tl Ag Ir
1 2 3 1 2
Direct
0.000 0.000 0.000
0.000 0.178 0.588
0.000 0.588 0.178
0.500 0.318 0.318
0.500 0.587 0.860
0.500 0.860 0.587
0.000 0.589 0.589
0.500 0.254 0.922
0.500 0.922 0.254
```

Peak list (10 most intense, 10° ≤ 2θ ≤ 90°, by intensity)
2θ 32.7, intensity 1000; 2θ 35.3, intensity 837; 2θ 39.7, intensity 606; 2θ 34.9, intensity 527; 2θ 42.4, intensity 418; 2θ 64.5, intensity 407; 2θ 63.7, intensity 303; 2θ 47.7, intensity 251; 2θ 23.3, intensity 221; 2θ 60.4, intensity 221

---

Entry 4:
The following is a simulated X-ray powder pattern of LaGdMg2Ag2. It was derived from a DFT-relaxed cell (GGA-PBE, OQMD), using λ = 1.5418 Å (Cu Kα).

Cell and atoms:
```
LaGdMg2Ag2
1.0
7.779 0.000 0.000
0.000 4.296 0.000
-0.024 0.000 13.511
La Gd Mg Ag
3 3 6 6
Direct
0.000 0.000 0.000
0.001 0.000 0.417
0.501 0.000 0.914
0.124 0.000 0.705
0.501 0.000 0.501
0.624 0.000 0.211
0.332 0.500 0.091
0.333 0.500 0.330
0.467 0.500 0.704
0.827 0.500 0.588
0.831 0.500 0.824
0.966 0.500 0.210
0.206 0.500 0.868
0.214 0.000 0.209
0.214 0.500 0.545
0.700 0.500 0.376
0.705 0.500 0.048
0.712 0.000 0.704
```

Peak list (10 most intense, 10° ≤ 2θ ≤ 90°, by intensity)
2θ 33.8, intensity 1000; 2θ 31.0, intensity 775; 2θ 22.8, intensity 326; 2θ 42.1, intensity 227; 2θ 26.4, intensity 224; 2θ 41.2, intensity 197; 2θ 40.1, intensity 185; 2θ 35.2, intensity 175; 2θ 64.0, intensity 119; 2θ 20.7, intensity 118

---

Entry 5:
The following is a simulated X-ray powder pattern of LaGd5Mg6Ag6. It was derived from a DFT-relaxed cell (GGA-PBE, OQMD), using λ = 1.5418 Å (Cu Kα).

Cell and atoms:
```
LaGd5Mg6Ag6
1.0
7.696 0.000 0.000
0.000 4.249 0.000
-0.008 0.000 13.329
La Gd Mg Ag
1 5 6 6
Direct
0.000 0.000 0.000
0.000 0.000 0.583
0.122 0.000 0.295
0.501 0.000 0.086
0.501 0.000 0.499
0.623 0.000 0.789
0.330 0.500 0.669
0.333 0.500 0.912
0.465 0.500 0.295
0.826 0.500 0.174
0.829 0.500 0.415
0.964 0.500 0.788
0.208 0.500 0.460
0.210 0.000 0.788
0.214 0.500 0.131
0.699 0.500 0.957
0.707 0.500 0.624
0.708 0.000 0.293
```

Peak list (10 most intense, 10° ≤ 2θ ≤ 90°, by intensity)
2θ 34.2, intensity 1000; 2θ 31.4, intensity 798; 2θ 23.1, intensity 329; 2θ 40.6, intensity 274; 2θ 41.7, intensity 244; 2θ 54.1, intensity 235; 2θ 26.8, intensity 232; 2θ 42.6, intensity 228; 2θ 35.6, intensity 222; 2θ 64.8, intensity 220

---

Entry 6:
The following is a simulated X-ray powder pattern of LaGdMg2Ag2. It was derived from a DFT-relaxed cell (GGA-PBE, OQMD), using λ = 1.5418 Å (Cu Kα).

Cell and atoms:
```
LaGdMg2Ag2
1.0
7.802 0.000 0.000
0.000 4.296 0.000
-0.022 0.000 13.472
La Gd Mg Ag
3 3 6 6
Direct
0.000 0.000 0.000
0.123 0.000 0.294
0.624 0.000 0.789
0.000 0.000 0.582
0.501 0.000 0.086
0.501 0.000 0.498
0.327 0.500 0.667
0.330 0.500 0.912
0.469 0.500 0.294
0.822 0.500 0.172
0.825 0.500 0.414
0.969 0.500 0.787
0.205 0.000 0.787
0.211 0.500 0.463
0.219 0.500 0.125
0.702 0.000 0.292
0.702 0.500 0.962
0.710 0.500 0.619
```

Peak list (10 most intense, 10° ≤ 2θ ≤ 90°, by intensity)
2θ 33.8, intensity 1000; 2θ 31.0, intensity 773; 2θ 22.8, intensity 325; 2θ 42.1, intensity 227; 2θ 26.4, intensity 224; 2θ 41.2, intensity 197; 2θ 40.1, intensity 185; 2θ 59.5, intensity 164; 2θ 35.2, intensity 134; 2θ 20.7, intensity 118